Starting from a crystal structure in the Materials Project, relaxed with GGA-PBE, the XRD peak list of CdP2O6 was computed for CuKα.

Top 6 peaks for 2θ = 15–90°, by angle:
| two_theta | Rel. int. |
| --- | --- |
| 15.54 | 65.3 |
| 20.46 | 47.9 |
| 26.33 | 100.0 |
| 28.31 | 44.4 |
| 33.57 | 38.0 |
| 35.10 | 54.2 |

Atomic structure:
```
CdP2O6
1.0
7.5614 0.0000 0.0000
0.0000 7.5712 0.0000
0.0000 0.0000 8.6823
Cd P O
4 8 24
Cartesian
0.1439 1.0774 1.8526
3.6368 6.4938 6.1938
3.9246 2.7082 6.8296
7.4175 4.8630 2.4885
0.9168 4.2450 5.7026
1.1617 1.2261 5.2081
2.6190 6.3451 0.8669
2.8639 3.3262 1.3615
4.6975 7.1119 2.9796
4.9424 2.5595 3.4742
6.3997 5.0117 7.8154
6.6446 0.4594 7.3208
0.0317 4.2710 7.0409
0.3709 5.1547 4.6444
0.6658 2.7459 5.2203
1.1502 0.7336 3.8046
1.3188 6.4916 1.6272
1.4207 3.1503 1.7876
2.3601 4.4210 6.1288
2.4619 1.0796 5.9684
2.6305 6.8376 8.1457
3.1150 4.8253 0.8792
3.4098 2.4165 0.3033
3.7490 3.3002 2.6998
3.8124 7.0858 1.6414
4.1516 6.2022 4.0379
4.4465 1.0397 3.4620
4.9309 3.0520 4.8777
5.0995 4.8652 7.0550
5.2014 0.6353 6.8946
6.1408 6.9359 2.5535
6.2426 2.7060 2.7139
6.4112 4.5192 0.5366
6.8957 6.5315 7.8031
7.1905 1.3691 8.3790
7.5297 0.4854 5.9825
```


Starting from a crystal structure in the Materials Project, relaxed with GGA-PBE, the XRD peak list of La20Mn8Te7C12 was computed for CuKα.

Top 6 peaks for 2θ = 15–90°, by angle:
| two_theta | Rel. int. |
| --- | --- |
| 28.33 | 100.0 |
| 30.90 | 28.9 |
| 32.35 | 39.2 |
| 32.82 | 56.8 |
| 42.41 | 25.5 |
| 47.10 | 24.7 |

Atomic structure:
```
La20Mn8Te7C12
1.0
0.0000 8.1859 8.1859
8.1859 0.0000 8.1859
8.1859 8.1859 0.0000
La Mn Te C
20 8 7 12
Cartesian
2.7957 2.7957 0.0000
5.3902 5.3902 0.0000
2.7957 0.0000 2.7957
8.1859 5.3902 2.7957
5.3902 0.0000 5.3902
8.1859 2.7957 5.3902
10.4037 5.9680 5.9680
0.0000 2.7957 2.7957
5.3902 8.1859 2.7957
5.3902 2.7957 8.1859
5.9680 5.9680 5.9680
10.4037 10.4037 5.9680
10.4037 5.9680 10.4037
5.9680 10.4037 5.9680
5.9680 5.9680 10.4037
10.4037 10.4037 10.4037
0.0000 5.3902 5.3902
2.7957 8.1859 5.3902
2.7957 5.3902 8.1859
5.9680 10.4037 10.4037
3.2138 3.2138 3.2138
4.9721 4.9721 3.2138
4.9721 3.2138 4.9721
3.2138 4.9721 4.9721
13.1579 11.3996 11.3996
11.3996 13.1579 11.3996
11.3996 11.3996 13.1579
13.1579 13.1579 13.1579
0.0000 0.0000 0.0000
8.1859 8.1859 4.6806
8.1859 4.6806 8.1859
11.6911 8.1859 8.1859
4.6806 8.1859 8.1859
8.1859 11.6911 8.1859
8.1859 8.1859 11.6911
4.0929 4.0929 1.7308
4.0929 1.7308 4.0929
6.4551 4.0929 4.0929
1.7308 4.0929 4.0929
4.0929 6.4551 4.0929
4.0929 4.0929 6.4551
12.2788 12.2788 9.9166
12.2788 9.9166 12.2788
14.6409 12.2788 12.2788
9.9166 12.2788 12.2788
12.2788 14.6409 12.2788
12.2788 12.2788 14.6409
```


Starting from a crystal structure in the Materials Project, relaxed with GGA-PBE, the XRD peak list of Te4As2I2O was computed for CuKα.

Top 6 peaks for 2θ = 15–90°, by angle:
| two_theta | Rel. int. |
| --- | --- |
| 21.26 | 100.0 |
| 26.17 | 33.2 |
| 26.84 | 39.9 |
| 27.96 | 61.8 |
| 28.86 | 57.3 |
| 30.78 | 42.7 |

Atomic structure:
```
Te4As2I2O
1.0
6.8990 0.0000 0.0000
3.4383 6.1911 0.0000
1.8862 2.4475 8.3585
Te As I O
4 2 2 1
Cartesian
0.0000 0.0000 0.0000
4.5166 6.2286 3.7431
5.3034 4.0436 7.8523
9.0333 6.4828 8.0823
1.3433 2.0340 1.0623
7.9500 6.0850 1.1880
2.7657 4.0488 4.2387
5.9394 1.9807 3.9824
5.4628 6.3538 5.2962
```


Starting from a crystal structure in the Materials Project, relaxed with GGA-PBE, the XRD peak list of Li3BN2 was computed for CuKα.

Top 6 peaks for 2θ = 15–90°, by angle:
| two_theta | Rel. int. |
| --- | --- |
| 25.53 | 42.7 |
| 32.01 | 100.0 |
| 34.23 | 29.2 |
| 43.27 | 11.1 |
| 44.10 | 37.5 |
| 55.60 | 21.7 |

Atomic structure:
```
Li3BN2
1.0
4.6755 0.0000 0.0000
0.0000 4.6755 0.0000
0.0000 0.0000 5.2397
Li B N
6 2 4
Cartesian
0.0000 0.0000 0.0000
0.0000 2.3377 1.3099
0.0000 2.3377 3.9298
2.3377 0.0000 1.3099
2.3377 0.0000 3.9298
2.3377 2.3377 2.6198
0.0000 0.0000 2.6198
2.3377 2.3377 0.0000
0.9526 0.9526 2.6198
1.3851 3.2904 0.0000
3.2904 1.3851 0.0000
3.7229 3.7229 2.6198
```


Starting from a crystal structure in the Materials Project, relaxed with GGA-PBE, the XRD peak list of PPbS3 was computed for CuKα.

Top 6 peaks for 2θ = 15–90°, by angle:
| two_theta | Rel. int. |
| --- | --- |
| 17.49 | 56.7 |
| 18.77 | 59.0 |
| 19.67 | 48.8 |
| 20.07 | 70.2 |
| 25.24 | 100.0 |
| 33.12 | 50.7 |

Atomic structure:
```
PPbS3
1.0
6.8040 0.0000 0.0000
0.0000 7.6075 0.0000
-6.5064 0.0000 9.4549
P Pb S
4 4 12
Cartesian
0.4513 0.8250 0.6200
-2.8019 2.9788 5.3474
3.0995 4.6287 4.1074
-0.1537 6.7825 8.8349
-0.1519 4.7377 2.3752
-3.4051 6.6736 7.1027
3.7027 0.9339 2.3522
0.4495 2.8698 7.0796
-5.5214 5.3295 8.8797
-2.2682 6.0817 4.1523
-4.3886 1.4633 9.0892
-1.1354 2.3404 4.3618
0.8074 0.0354 2.4564
-2.4458 3.7684 7.1838
2.7434 3.8391 2.2710
-0.5098 7.5721 6.9985
1.4330 5.2671 5.0931
4.6862 6.1442 0.3657
2.5658 1.5258 5.3025
5.8190 2.2780 0.5751
```